The following is a theoretical PXRD pattern of ThUN2O. It was derived from a structure optimized by DFT (GGA-PBE), using Cu Kα (weighted mean of Kα1 and Kα2).
Neutral-atom scattering factors, no anomalous dispersion.

Cell and atoms:
Cell: 3.6354 3.6354 11.0120 Å, 90.00 90.00 90.00°
Space group P4/nmm (No. 129, origin choice 2)
Unique sites:
Th: 0.2500 0.2500 0.1344 x2
U: 0.2500 0.2500 0.6041 x2
N: 0.2500 0.2500 0.3934 x2
N: 0.2500 0.2500 0.7862 x2
O: 0.2500 0.7500 0.0000 x2

Main lines, by intensity (2θ from 10° to 80°):
2theta, Rel. int., hkl
29.4, 100, 1 0 2
34.9, 39, 1 1 0
59.3, 30, 2 1 2
48.4, 28, 1 1 4
32.5, 18, 0 0 4
50.2, 16, 2 0 0
56.1, 13, 1 0 6
61.1, 12, 2 0 4
78.6, 10, 2 1 6
73.7, 5, 2 2 0
48.3, 5, 1 0 5
78.9, 4, 1 1 8